Record 1
This entry pairs a crystal structure of SrC with its computed powder XRD pattern. Radiation: Cu Kα X-rays. Structure: a DFT-relaxed cell (PBE, Alexandria).

Structural model:
a b c (Å): 6.661 6.661 6.661
angles (deg): 144.79 74.83 116.40
Atoms (fractional coordinates):
Sr  0.000  0.000  0.000
Sr  0.387  0.080  0.307
Sr  0.773  0.080  0.693
C  0.076  0.702  0.374
C  0.228  0.728  0.500
C  0.329  0.702  0.626

Largest 10 diffraction maxima, in order of falling intensity, 2θ from 10° to 90°:
| d_spacing | 2theta | I (rel.) |
| --- | --- | --- |
| 3.495 | 25.49 | 100 |
| 3.152 | 28.32 | 72 |
| 2.654 | 33.77 | 52 |
| 2.117 | 42.72 | 46 |
| 3.510 | 25.37 | 44 |
| 2.920 | 30.61 | 27 |
| 2.024 | 44.77 | 24 |
| 1.698 | 54.02 | 23 |
| 2.015 | 44.99 | 16 |
| 2.568 | 34.94 | 15 |


Record 2
This entry pairs a crystal structure of SrTa2C with its computed powder XRD pattern. Radiation: Cu Kα X-rays. Structure: a DFT-relaxed cell (PBE, Alexandria).

Structural model:
a b c (Å): 6.560 6.560 6.560
angles (deg): 60.00 60.00 60.00
Atoms (fractional coordinates):
Sr  0.125  0.125  0.125
Sr  0.875  0.875  0.875
Ta  0.000  0.500  0.500
Ta  0.500  0.000  0.500
Ta  0.500  0.500  0.000
Ta  0.500  0.500  0.500
C  0.375  0.375  0.375
C  0.625  0.625  0.625

Largest 10 diffraction maxima, in order of falling intensity, 2θ from 10° to 90°:
| d_spacing | 2theta | I (rel.) |
| --- | --- | --- |
| 2.797 | 32.00 | 100 |
| 2.678 | 33.46 | 69 |
| 5.356 | 16.55 | 47 |
| 1.640 | 56.08 | 39 |
| 1.785 | 51.16 | 36 |
| 1.399 | 66.90 | 29 |
| 1.208 | 79.33 | 23 |
| 2.319 | 38.83 | 18 |
| 3.280 | 27.19 | 14 |
| 2.128 | 42.47 | 13 |


Record 3
This entry pairs a crystal structure of SrYC2 with its computed powder XRD pattern. Radiation: Cu Kα X-rays. Structure: a DFT-relaxed cell (PBE, Alexandria).

Structural model:
a b c (Å): 6.033 6.033 6.033
angles (deg): 113.53 113.53 101.63
Atoms (fractional coordinates):
Sr  0.000  0.000  0.000
Sr  0.750  0.250  0.500
Y  0.250  0.750  0.500
Y  0.500  0.500  0.000
C  0.164  0.125  0.539
C  0.375  0.836  0.961
C  0.586  0.625  0.461
C  0.875  0.414  0.039

Largest 10 diffraction maxima, in order of falling intensity, 2θ from 10° to 90°:
| d_spacing | 2theta | I (rel.) |
| --- | --- | --- |
| 2.955 | 30.25 | 100 |
| 3.307 | 26.97 | 51 |
| 1.833 | 49.73 | 48 |
| 2.338 | 38.50 | 31 |
| 1.652 | 55.64 | 30 |
| 1.478 | 62.88 | 20 |
| 1.168 | 82.56 | 15 |
| 1.228 | 77.79 | 13 |
| 1.443 | 64.60 | 11 |
| 1.226 | 77.91 | 6 |


Record 4
This entry pairs a crystal structure of Ta4C3 with its computed powder XRD pattern. Radiation: Cu Kα X-rays. Structure: a DFT-relaxed cell (PBE, Alexandria).

Structural model:
a b c (Å): 10.439 10.439 10.439
angles (deg): 17.24 17.24 17.24
Atoms (fractional coordinates):
Ta  0.000  0.000  0.000
Ta  0.164  0.164  0.164
Ta  0.579  0.579  0.579
Ta  0.749  0.749  0.749
C  0.289  0.289  0.289
C  0.377  0.377  0.377
C  0.871  0.871  0.871

Largest 10 diffraction maxima, in order of falling intensity, 2θ from 10° to 90°:
| d_spacing | 2theta | I (rel.) |
| --- | --- | --- |
| 2.482 | 36.19 | 100 |
| 2.309 | 39.01 | 88 |
| 2.570 | 34.91 | 49 |
| 1.337 | 70.44 | 40 |
| 1.565 | 59.02 | 39 |
| 2.670 | 33.57 | 29 |
| 1.508 | 61.50 | 22 |
| 2.036 | 44.49 | 18 |
| 1.393 | 67.22 | 17 |
| 1.324 | 71.23 | 14 |


Record 5
This entry pairs a crystal structure of TbTaC with its computed powder XRD pattern. Radiation: Cu Kα X-rays. Structure: a DFT-relaxed cell (PBE, Alexandria).

Structural model:
a b c (Å): 6.410 6.410 6.410
angles (deg): 53.24 53.24 53.24
Atoms (fractional coordinates):
Tb  0.010  0.661  0.329
Tb  0.329  0.010  0.661
Tb  0.661  0.329  0.010
Ta  0.170  0.504  0.837
Ta  0.504  0.837  0.170
Ta  0.837  0.170  0.504
C  0.232  0.232  0.232
C  0.435  0.435  0.435
C  0.900  0.900  0.900

Largest 10 diffraction maxima, in order of falling intensity, 2θ from 10° to 90°:
| d_spacing | 2theta | I (rel.) |
| --- | --- | --- |
| 2.544 | 35.27 | 100 |
| 2.743 | 32.65 | 26 |
| 1.542 | 59.98 | 22 |
| 1.419 | 65.82 | 21 |
| 2.872 | 31.14 | 20 |
| 1.658 | 55.41 | 19 |
| 1.983 | 45.74 | 18 |
| 1.389 | 67.41 | 15 |
| 1.129 | 86.10 | 8 |
| 1.272 | 74.60 | 4 |


Record 6
This entry pairs a crystal structure of TbU2TaC4 with its computed powder XRD pattern. Radiation: Cu Kα X-rays. Structure: a DFT-relaxed cell (PBE, Alexandria).

Structural model:
a b c (Å): 6.871 6.871 6.871
angles (deg): 121.15 119.45 89.49
Atoms (fractional coordinates):
Tb  0.000  0.000  0.000
Tb  0.500  0.000  0.500
U  0.000  0.500  0.500
U  0.500  0.000  0.000
U  0.500  0.500  0.000
U  0.500  0.500  0.500
Ta  0.000  0.000  0.500
Ta  0.000  0.500  0.000
C  0.230  0.745  0.485
C  0.239  0.260  0.521
C  0.239  0.718  0.979
C  0.240  0.255  0.985
C  0.760  0.745  0.015
C  0.761  0.282  0.021
C  0.761  0.740  0.479
C  0.770  0.255  0.515

Largest 10 diffraction maxima, in order of falling intensity, 2θ from 10° to 90°:
| d_spacing | 2theta | I (rel.) |
| --- | --- | --- |
| 2.824 | 31.68 | 100 |
| 2.776 | 32.25 | 96 |
| 2.417 | 37.19 | 81 |
| 1.717 | 53.35 | 57 |
| 2.440 | 36.84 | 42 |
| 1.469 | 63.29 | 30 |
| 1.449 | 64.30 | 29 |
| 1.412 | 66.17 | 15 |
| 1.472 | 63.15 | 15 |
| 1.465 | 63.48 | 15 |


Record 7
This entry pairs a crystal structure of ThTa2TcC4 with its computed powder XRD pattern. Radiation: Cu Kα X-rays. Structure: a DFT-relaxed cell (PBE, Alexandria).

Structural model:
a b c (Å): 5.972 5.972 11.105
angles (deg): 90.00 90.00 147.67
Atoms (fractional coordinates):
Th  0.103  0.897  0.750
Th  0.897  0.103  0.250
Ta  0.373  0.627  0.540
Ta  0.373  0.627  0.960
Ta  0.627  0.373  0.040
Ta  0.627  0.373  0.460
Tc  0.161  0.839  0.250
Tc  0.839  0.161  0.750
C  0.000  0.000  0.000
C  0.000  0.000  0.500
C  0.265  0.735  0.110
C  0.265  0.735  0.390
C  0.435  0.565  0.750
C  0.565  0.435  0.250
C  0.735  0.265  0.610
C  0.735  0.265  0.890

Largest 10 diffraction maxima, in order of falling intensity, 2θ from 10° to 90°:
| d_spacing | 2theta | I (rel.) |
| --- | --- | --- |
| 2.768 | 32.34 | 100 |
| 2.286 | 39.41 | 57 |
| 2.868 | 31.19 | 49 |
| 2.776 | 32.24 | 46 |
| 3.110 | 28.70 | 46 |
| 1.663 | 55.24 | 38 |
| 2.447 | 36.72 | 30 |
| 1.788 | 51.09 | 25 |
| 1.995 | 45.47 | 22 |
| 1.438 | 64.82 | 15 |


Record 8
This entry pairs a crystal structure of TmThTaC3 with its computed powder XRD pattern. Radiation: Cu Kα X-rays. Structure: a DFT-relaxed cell (PBE, Alexandria).

Structural model:
a b c (Å): 5.898 3.580 8.900
angles (deg): 90.00 102.05 90.00
Atoms (fractional coordinates):
Tm  0.233  0.250  0.450
Tm  0.767  0.750  0.550
Th  0.355  0.750  0.807
Th  0.645  0.250  0.193
Ta  0.132  0.750  0.137
Ta  0.868  0.250  0.863
C  0.045  0.250  0.676
C  0.223  0.250  0.024
C  0.435  0.750  0.321
C  0.565  0.250  0.679
C  0.777  0.750  0.976
C  0.955  0.750  0.324

Largest 10 diffraction maxima, in order of falling intensity, 2θ from 10° to 90°:
| d_spacing | 2theta | I (rel.) |
| --- | --- | --- |
| 2.778 | 32.23 | 100 |
| 2.633 | 34.05 | 89 |
| 2.926 | 30.55 | 44 |
| 2.901 | 30.82 | 37 |
| 1.686 | 54.43 | 21 |
| 1.790 | 51.02 | 19 |
| 2.841 | 31.49 | 19 |
| 2.202 | 41.00 | 17 |
| 1.859 | 48.99 | 15 |
| 1.527 | 60.64 | 13 |


Record 9
This entry pairs a crystal structure of Ta3TiC3 with its computed powder XRD pattern. Radiation: Cu Kα X-rays. Structure: a DFT-relaxed cell (PBE, Alexandria).

Structural model:
a b c (Å): 6.114 6.301 6.340
angles (deg): 61.40 79.85 68.40
Atoms (fractional coordinates):
Ta  0.174  0.135  0.434
Ta  0.178  0.374  0.864
Ta  0.185  0.811  0.194
Ta  0.815  0.189  0.806
Ta  0.822  0.626  0.136
Ta  0.826  0.865  0.566
Ti  0.419  0.712  0.808
Ti  0.581  0.288  0.192
C  0.189  0.063  0.805
C  0.209  0.493  0.132
C  0.210  0.727  0.563
C  0.790  0.273  0.437
C  0.791  0.507  0.868
C  0.811  0.937  0.195

Largest 10 diffraction maxima, in order of falling intensity, 2θ from 10° to 90°:
| d_spacing | 2theta | I (rel.) |
| --- | --- | --- |
| 3.109 | 28.71 | 100 |
| 5.685 | 15.59 | 70 |
| 2.566 | 34.96 | 53 |
| 2.528 | 35.52 | 52 |
| 2.556 | 35.10 | 50 |
| 3.163 | 28.22 | 47 |
| 2.360 | 38.13 | 41 |
| 2.842 | 31.47 | 39 |
| 2.284 | 39.46 | 34 |
| 2.054 | 44.08 | 32 |


Record 10
This entry pairs a crystal structure of TaTiWC3 with its computed powder XRD pattern. Radiation: Cu Kα X-rays. Structure: a DFT-relaxed cell (PBE, Alexandria).

Structural model:
a b c (Å): 3.115 3.115 7.616
angles (deg): 90.00 90.00 120.00
Atoms (fractional coordinates):
Ta  0.000  0.000  0.000
Ti  0.667  0.333  0.334
W  0.333  0.667  0.660
C  0.000  0.000  0.498
C  0.333  0.667  0.168
C  0.667  0.333  0.826

Largest 10 diffraction maxima, in order of falling intensity, 2θ from 10° to 90°:
| d_spacing | 2theta | I (rel.) |
| --- | --- | --- |
| 2.542 | 35.31 | 100 |
| 2.201 | 41.00 | 66 |
| 1.557 | 59.38 | 43 |
| 7.616 | 11.62 | 33 |
| 1.328 | 70.98 | 29 |
| 1.271 | 74.65 | 11 |
| 2.698 | 33.21 | 10 |
| 1.326 | 71.07 | 10 |
| 3.808 | 23.36 | 9 |
| 1.101 | 88.92 | 8 |


Record 11
This entry pairs a crystal structure of TmTaC with its computed powder XRD pattern. Radiation: Cu Kα X-rays. Structure: a DFT-relaxed cell (PBE, Alexandria).

Structural model:
a b c (Å): 6.313 6.313 6.313
angles (deg): 53.51 53.51 53.51
Atoms (fractional coordinates):
Tm  0.005  0.673  0.322
Tm  0.322  0.005  0.673
Tm  0.673  0.322  0.005
Ta  0.163  0.497  0.829
Ta  0.497  0.829  0.163
Ta  0.829  0.163  0.497
C  0.098  0.098  0.098
C  0.430  0.430  0.430
C  0.903  0.903  0.903

Largest 10 diffraction maxima, in order of falling intensity, 2θ from 10° to 90°:
| d_spacing | 2theta | I (rel.) |
| --- | --- | --- |
| 2.514 | 35.71 | 100 |
| 2.697 | 33.22 | 26 |
| 1.519 | 60.98 | 21 |
| 1.402 | 66.73 | 21 |
| 2.842 | 31.48 | 20 |
| 1.641 | 56.05 | 19 |
| 1.956 | 46.42 | 18 |
| 1.374 | 68.25 | 15 |
| 1.115 | 87.50 | 8 |
| 1.257 | 75.64 | 4 |


Record 12
This entry pairs a crystal structure of ZrTa5C3 with its computed powder XRD pattern. Radiation: Cu Kα X-rays. Structure: a DFT-relaxed cell (PBE, Alexandria).

Structural model:
a b c (Å): 6.140 6.140 8.137
angles (deg): 110.64 110.64 72.82
Atoms (fractional coordinates):
Zr  0.103  0.103  0.307
Zr  0.897  0.897  0.693
Ta  0.041  0.633  0.329
Ta  0.236  0.236  0.030
Ta  0.296  0.704  0.000
Ta  0.367  0.959  0.671
Ta  0.430  0.430  0.637
Ta  0.570  0.570  0.363
Ta  0.633  0.041  0.329
Ta  0.704  0.296  0.000
Ta  0.764  0.764  0.970
Ta  0.959  0.367  0.671
C  0.000  0.000  0.000
C  0.000  0.000  0.500
C  0.333  0.333  0.834
C  0.341  0.341  0.334
C  0.659  0.659  0.666
C  0.667  0.667  0.166

Largest 10 diffraction maxima, in order of falling intensity, 2θ from 10° to 90°:
| d_spacing | 2theta | I (rel.) |
| --- | --- | --- |
| 2.441 | 36.82 | 100 |
| 2.414 | 37.25 | 93 |
| 2.610 | 34.36 | 91 |
| 1.531 | 60.47 | 33 |
| 2.311 | 38.98 | 29 |
| 2.359 | 38.15 | 25 |
| 2.742 | 32.66 | 19 |
| 1.460 | 63.74 | 17 |
| 1.611 | 57.17 | 17 |
| 1.870 | 48.70 | 16 |


Record 13
This entry pairs a crystal structure of ZrTa2C2 with its computed powder XRD pattern. Radiation: Cu Kα X-rays. Structure: a DFT-relaxed cell (PBE, Alexandria).

Structural model:
a b c (Å): 5.682 5.682 5.682
angles (deg): 146.80 134.86 57.17
Atoms (fractional coordinates):
Zr  0.000  0.000  0.000
Ta  0.316  0.316  0.000
Ta  0.684  0.684  0.000
C  0.170  0.670  0.500
C  0.830  0.330  0.500

Largest 10 diffraction maxima, in order of falling intensity, 2θ from 10° to 90°:
| d_spacing | 2theta | I (rel.) |
| --- | --- | --- |
| 2.604 | 34.44 | 100 |
| 2.645 | 33.89 | 95 |
| 2.323 | 38.76 | 80 |
| 1.590 | 58.00 | 49 |
| 2.181 | 41.40 | 36 |
| 4.989 | 17.78 | 35 |
| 1.383 | 67.73 | 26 |
| 1.402 | 66.73 | 20 |
| 2.309 | 39.01 | 15 |
| 1.623 | 56.71 | 14 |


Record 14
This entry pairs a crystal structure of Zr2TaC3 with its computed powder XRD pattern. Radiation: Cu Kα X-rays. Structure: a DFT-relaxed cell (PBE, Alexandria).

Structural model:
a b c (Å): 7.327 7.327 7.327
angles (deg): 154.14 154.14 36.90
Atoms (fractional coordinates):
Zr  0.166  0.166  0.000
Zr  0.834  0.834  0.000
Ta  0.500  0.500  0.000
C  0.000  0.000  0.000
C  0.338  0.338  0.000
C  0.662  0.662  0.000

Largest 10 diffraction maxima, in order of falling intensity, 2θ from 10° to 90°:
| d_spacing | 2theta | I (rel.) |
| --- | --- | --- |
| 2.677 | 33.48 | 100 |
| 2.318 | 38.85 | 70 |
| 1.639 | 56.11 | 47 |
| 1.398 | 66.93 | 42 |
| 6.950 | 12.74 | 16 |
| 1.338 | 70.34 | 15 |
| 3.192 | 27.95 | 10 |
| 1.159 | 83.38 | 7 |
| 2.200 | 41.03 | 4 |
| 2.121 | 42.63 | 4 |